Computed powder diffractogram of TiZnSnO4 for a wavelength of 1.5418 Å, from a crystal structure in Alexandria, relaxed with GGA-PBE.

```
TiZnSnO4
1.0
9.351 0.000 0.000
-4.675 8.098 0.000
0.000 0.000 9.514
Ti Zn Sn O
6 6 6 24
direct
0.011 0.687 0.000 Ti
0.313 0.325 0.000 Ti
0.325 0.011 0.500 Ti
0.675 0.989 0.000 Ti
0.687 0.675 0.500 Ti
0.989 0.313 0.500 Ti
0.013 0.663 0.625 Zn
0.337 0.351 0.625 Zn
0.351 0.013 0.125 Zn
0.649 0.987 0.625 Zn
0.663 0.649 0.125 Zn
0.987 0.337 0.125 Zn
0.000 0.000 0.233 Sn
0.000 0.000 0.733 Sn
0.333 0.667 0.388 Sn
0.333 0.667 0.911 Sn
0.667 0.333 0.411 Sn
0.667 0.333 0.888 Sn
0.075 0.726 0.821 O
0.104 0.884 0.098 O
0.110 0.565 0.055 O
0.116 0.219 0.098 O
0.217 0.443 0.515 O
0.219 0.104 0.598 O
0.226 0.783 0.515 O
0.274 0.349 0.821 O
0.349 0.075 0.321 O
0.435 0.545 0.055 O
0.443 0.226 0.015 O
0.455 0.890 0.055 O
0.545 0.110 0.555 O
0.557 0.774 0.515 O
0.565 0.455 0.555 O
0.651 0.925 0.821 O
0.726 0.651 0.321 O
0.774 0.217 0.015 O
0.781 0.896 0.098 O
0.783 0.557 0.015 O
0.884 0.781 0.598 O
0.890 0.435 0.555 O
0.896 0.116 0.598 O
0.925 0.274 0.321 O
```

Main lines, by angle (10 to 90 degrees two-theta):
2θ = 21.2°, intensity 38, hkl 1 1 1; 2θ = 21.7°, intensity 64, hkl 1 0 2; 2θ = 26.7°, intensity 76, hkl 1 1 2; 2θ = 29.0°, intensity 36, hkl 2 0 2; 2θ = 33.2°, intensity 100, hkl 3 0 0; 2θ = 34.9°, intensity 30, hkl 2 1 2; 2θ = 48.4°, intensity 27, hkl 2 2 3; 2θ = 59.3°, intensity 27, hkl 3 3 0